Structure and calculated PXRD pattern of KHgC3S3N3 (a PBE-relaxed structure; λ = 1.5418 Å (Cu Kα)).
Intensities are scaled so that the largest is 100.

Crystal structure
Lattice parameters (Å, degrees): 11.724 4.151 11.732 90.00 115.77 90.00
Space group P2_1/m (No. 11)
Asymmetric unit:
K 0.108 0.250 0.196
Hg 0.332 0.250 0.745
C 0.150 0.750 0.494
C 0.203 0.250 0.939
C 0.403 0.750 0.282
S 0.158 0.750 0.639
S 0.355 0.250 0.967
S 0.448 0.250 0.610
N 0.097 0.250 0.924
N 0.141 0.750 0.390
N 0.294 0.750 0.212

The 10 most intense peaks (5 to 70 degrees two-theta), low angle first:
d (Å)  I/Imax  hkl
10.558  31.4  1 0 0
9.934  100.0  1 0 -1
6.235  44.7  1 0 1
5.848  54.5  2 0 -1
5.282  52.0  0 0 2
3.863  83.3  0 1 1
3.455  48.2  1 1 1
3.263  28.8  2 1 0
2.905  28.3  1 1 2
2.836  39.2  3 1 -1

Structure and calculated PXRD pattern of Pr4TlCu (a PBE-relaxed structure; λ = 1.5418 Å (Cu Kα)).
Intensities are scaled so that the largest is 100.

Crystal structure
Lattice parameters (Å, degrees): 5.582 7.339 8.969 90.00 99.83 90.00
Space group P2_1/m (No. 11)
Asymmetric unit:
Pr 0.141 0.250 0.042
Pr 0.203 0.750 0.371
Pr 0.333 0.520 0.738
Tl 0.225 0.250 0.415
Cu 0.370 0.750 0.050

The 10 most intense peaks (5 to 70 degrees two-theta), low angle first:
d (Å)  I/Imax  hkl
3.189  20.5  1 0 2
2.973  50.3  1 2 -1
2.823  60.7  0 2 2
2.804  100.0  1 0 -3
2.763  32.3  2 0 -1
2.750  22.7  2 0 0
2.631  20.3  1 2 -2
2.430  25.6  1 0 3
1.835  20.8  0 4 0
1.535  18.6  1 4 -3

Please write out number 2 again, unchanged.
Structure and calculated PXRD pattern of Pr4TlCu (a PBE-relaxed structure; λ = 1.5418 Å (Cu Kα)).
Intensities are scaled so that the largest is 100.

Crystal structure
Lattice parameters (Å, degrees): 5.582 7.339 8.969 90.00 99.83 90.00
Space group P2_1/m (No. 11)
Asymmetric unit:
Pr 0.141 0.250 0.042
Pr 0.203 0.750 0.371
Pr 0.333 0.520 0.738
Tl 0.225 0.250 0.415
Cu 0.370 0.750 0.050

The 10 most intense peaks (5 to 70 degrees two-theta), low angle first:
d (Å)  I/Imax  hkl
3.189  20.5  1 0 2
2.973  50.3  1 2 -1
2.823  60.7  0 2 2
2.804  100.0  1 0 -3
2.763  32.3  2 0 -1
2.750  22.7  2 0 0
2.631  20.3  1 2 -2
2.430  25.6  1 0 3
1.835  20.8  0 4 0
1.535  18.6  1 4 -3